Dy2HoOsO8: calculated X-ray diffraction stick pattern (Cu Kα), based on a cell relaxed with PBE.
Kinematic intensities with the Lorentz-polarization factor, no thermal factor.

Structural model:
Lattice parameters (Å, degrees): 7.0901 7.1517 6.7577 90.00 90.00 90.00
Space group Cmmm (No. 65)
Asymmetric unit:
Dy (0.0000, 0.0000, 0.2464) (multiplicity 4)
Ho (0.0000, 0.5000, 0.0000) (multiplicity 2)
Os (0.0000, 0.5000, 0.5000) (multiplicity 2)
O (0.0000, 0.3173, 0.2892) (multiplicity 8)
O (0.1933, 0.0000, 0.0000) (multiplicity 4)
O (0.2356, 0.0000, 0.5000) (multiplicity 4)

Principal peaks in the range 2θ from 10° to 90°, in order of rising 2θ:
Position (°2θ)	I (rel.)	h k l
24.90	57	0 2 0
25.12	53	2 0 0
31.90	100	1 1 2
35.66	30	2 2 0
48.46	40	1 3 2
48.71	36	3 1 2



DyHoSbO2: calculated X-ray diffraction stick pattern (Cu Kα), based on a cell relaxed with PBE.
Kinematic intensities with the Lorentz-polarization factor, no thermal factor.

Structural model:
Lattice parameters (Å, degrees): 3.8469 3.8469 13.3309 90.00 90.00 90.00
Space group I4mm (No. 107)
Asymmetric unit:
Dy (0.0000, 0.0000, 0.0000) (multiplicity 2)
Ho (0.0000, 0.0000, 0.6677) (multiplicity 2)
Sb (0.0000, 0.0000, 0.3338) (multiplicity 2)
O (0.0000, 0.5000, 0.0847) (multiplicity 4)

Principal peaks in the range 2θ from 10° to 90°, in order of rising 2θ:
Position (°2θ)	I (rel.)	h k l
30.74	100	1 0 3
32.93	36	1 1 0
47.26	17	2 0 0
53.23	24	1 1 6
57.44	34	2 1 3
86.75	11	2 1 9



Tb2DyHoO6: calculated X-ray diffraction stick pattern (Cu Kα), based on a cell relaxed with PBE.
Kinematic intensities with the Lorentz-polarization factor, no thermal factor.

Structural model:
Lattice parameters (Å, degrees): 5.8265 5.8265 15.1919 90.00 90.00 120.00
Space group R3 (No. 146, hexagonal axes)
Asymmetric unit:
Tb (0.0000, 0.0000, 0.0000) (multiplicity 3)
Tb (0.0000, 0.0000, 0.4996) (multiplicity 3)
Dy (0.0000, 0.0000, 0.2824) (multiplicity 3)
Ho (0.0000, 0.0000, 0.7830) (multiplicity 3)
O (0.0039, 0.2933, 0.8899) (multiplicity 9)
O (0.0056, 0.7100, 0.3901) (multiplicity 9)

Principal peaks in the range 2θ from 10° to 90°, in order of rising 2θ:
Position (°2θ)	I (rel.)	h k l
29.44	100	1 0 4
30.69	97	1 1 0
43.04	41	0 2 4
47.58	28	2 -1 6
53.79	41	3 -1 4
54.56	28	3 0 0